# 1
Calculated powder diffraction line list
Compound: RbScTeO6
Radiation: Cu Kα (weighted mean of Kα1 and Kα2)
Structure: a cell relaxed with GGA-PBE
Intensities are scaled so that the largest is 100.

Main lines, by intensity (2θ from 10° to 90°):
Position (°2θ)  d [Å]  I/Imax
23.66  3.761  100
23.12  3.847  58
15.02  5.898  35
44.59  2.032  32
31.51  2.840  29
17.84  4.971  18
30.99  2.885  15
50.34  1.813  15
43.25  2.092  13
30.31  2.949  13

Cell and atoms:
a = 5.681 Å, b = 5.681 Å, c = 5.900 Å
α = 90.82°, β = 90.82°, γ = 118.92°
Sites, in units of the cell vectors:
Rb  0.000  0.000  0.000
Sc  0.346  0.654  0.500
Te  0.657  0.343  0.500
O  0.416  0.391  0.300
O  0.424  0.027  0.672
O  0.603  0.016  0.337
O  0.609  0.584  0.700
O  0.973  0.576  0.328
O  0.984  0.397  0.663

# 2
Calculated powder diffraction line list
Compound: Nd3ThAs3
Radiation: Cu Kα (weighted mean of Kα1 and Kα2)
Structure: a cell relaxed with GGA-PBE
Intensities are scaled so that the largest is 100.

Main lines, by intensity (2θ from 10° to 90°):
Position (°2θ)  d [Å]  I/Imax
31.32  2.856  100
37.25  2.414  63
51.59  1.771  35
63.49  1.465  22
49.43  1.844  20
27.94  3.194  16
67.16  1.394  15
77.68  1.229  14
24.13  3.688  14
65.34  1.428  12

Cell and atoms:
a = 9.033 Å, b = 9.033 Å, c = 9.033 Å
α = 90.00°, β = 90.00°, γ = 90.00°
Sites, in units of the cell vectors:
Nd  0.065  0.435  0.565
Nd  0.183  0.183  0.183
Nd  0.184  0.816  0.316
Nd  0.316  0.184  0.816
Nd  0.317  0.817  0.683
Nd  0.435  0.565  0.065
Nd  0.565  0.065  0.435
Nd  0.683  0.317  0.817
Nd  0.684  0.684  0.684
Nd  0.816  0.316  0.184
Nd  0.817  0.683  0.317
Nd  0.935  0.935  0.935
Th  0.069  0.569  0.931
Th  0.431  0.431  0.431
Th  0.569  0.931  0.069
Th  0.931  0.069  0.569
As  0.000  0.252  0.874
As  0.000  0.752  0.626
As  0.126  0.500  0.248
As  0.248  0.126  0.500
As  0.252  0.874  0.000
As  0.374  0.500  0.748
As  0.500  0.248  0.126
As  0.500  0.748  0.374
As  0.626  0.000  0.752
As  0.748  0.374  0.500
As  0.752  0.626  0.000
As  0.874  0.000  0.252

# 3
Calculated powder diffraction line list
Compound: CsCr2H8
Radiation: Cu Kα (weighted mean of Kα1 and Kα2)
Structure: a cell relaxed with GGA-PBE
Intensities are scaled so that the largest is 100.

Main lines, by intensity (2θ from 10° to 90°):
Position (°2θ)  d [Å]  I/Imax
27.51  3.242  100
26.52  3.361  74
28.11  3.174  44
49.69  1.835  33
40.10  2.249  31
50.50  1.807  22
49.39  1.845  18
23.59  3.771  17
64.39  1.447  16
51.44  1.776  15

Cell and atoms:
a = 6.348 Å, b = 4.504 Å, c = 4.504 Å
α = 123.16°, β = 90.00°, γ = 90.00°
Sites, in units of the cell vectors:
Cs  0.000  0.000  0.000
Cr  0.500  0.357  0.721
Cr  0.500  0.721  0.357
H  0.305  0.050  0.509
H  0.305  0.509  0.050
H  0.342  0.515  0.515
H  0.500  0.058  0.830
H  0.500  0.830  0.058
H  0.658  0.515  0.515
H  0.695  0.050  0.509
H  0.695  0.509  0.050

# 4
Calculated powder diffraction line list
Compound: AcLaSnSe
Radiation: Cu Kα (weighted mean of Kα1 and Kα2)
Structure: a cell relaxed with GGA-PBE
Intensities are scaled so that the largest is 100.

Main lines, by intensity (2θ from 10° to 90°):
Position (°2θ)  d [Å]  I/Imax
27.32  3.264  100
39.33  2.291  77
27.74  3.216  48
48.55  1.875  42
39.02  2.308  39
70.89  1.329  28
23.72  3.751  22
63.75  1.460  19
63.97  1.455  19
64.61  1.443  18

Cell and atoms:
a = 4.616 Å, b = 4.616 Å, c = 6.433 Å
α = 90.00°, β = 90.00°, γ = 90.00°
Sites, in units of the cell vectors:
Ac  0.000  0.000  0.000
La  0.500  0.500  0.500
Sn  0.500  0.500  0.000
Se  0.000  0.000  0.500